Calculated X-ray diffraction stick pattern of Ac8NdTl6 for Cu Kα, from a GGA-PBE-relaxed structure.
Kinematic intensities with the Lorentz-polarization factor, no thermal factor.

Structural model:
```
Ac8NdTl6
1.0
4.917 2.839 7.035
-4.917 2.839 7.035
0.000 -5.677 7.035
Ac Nd Tl
8 1 6
direct
0.049 0.389 0.724
0.165 0.165 0.165
0.276 0.951 0.611
0.389 0.724 0.049
0.611 0.276 0.951
0.724 0.049 0.389
0.835 0.835 0.835
0.951 0.611 0.276
0.500 0.500 0.500
0.121 0.766 0.444
0.234 0.556 0.879
0.444 0.121 0.766
0.556 0.879 0.234
0.766 0.444 0.121
0.879 0.234 0.556
```

Largest 6 diffraction maxima, most intense first, 5° ≤ 2θ ≤ 70°:
2θ/deg  intensity
31.27  1000
31.52  928
55.96  389
44.99  370
55.49  201
22.06  196